# 1
Computed X-ray diffraction stick pattern
Compound: FeO2
Radiation: Cu Kα (λ = 1.5418 Å)
Structure: DFT lattice parameters and positions (PBE+U)
No peak broadening, texture or thermal motion is included.

Largest 10 diffraction maxima, sorted by position, 2θ from 15° to 90°:
2theta  Rel. int.
18.03  100
35.17  33
36.76  7
42.64  46
46.64  8
56.24  16
61.71  11
62.04  13
65.18  14
78.20  6

Structural model:
Unit cell a=5.215 b=5.215 c=5.215 alpha=33.33 beta=33.33 gamma=33.33
Element x y z (fractional)
Fe 0.000 0.000 0.000
O 0.268 0.268 0.268
O 0.732 0.732 0.732

# 2
Computed X-ray diffraction stick pattern
Compound: Na3Fe2P3O12
Radiation: Cu Kα (λ = 1.5418 Å)
Structure: DFT lattice parameters and positions (PBE+U)
No peak broadening, texture or thermal motion is included.

Largest 10 diffraction maxima, sorted by position, 2θ from 15° to 90°:
2theta  Rel. int.
19.55  58
23.34  37
28.17  39
31.21  100
35.15  33
45.63  13
47.72  24
51.36  17
54.93  11
59.81  15

Structural model:
Unit cell a=9.087 b=9.087 c=9.087 alpha=58.24 beta=58.24 gamma=58.24
Element x y z (fractional)
Na 0.159 0.410 0.750
Na 0.250 0.841 0.590
Na 0.410 0.750 0.159
Na 0.590 0.250 0.841
Na 0.750 0.159 0.410
Na 0.841 0.590 0.250
Fe 0.150 0.150 0.150
Fe 0.351 0.351 0.351
Fe 0.649 0.649 0.649
Fe 0.850 0.850 0.850
P 0.035 0.749 0.463
P 0.251 0.537 0.965
P 0.463 0.035 0.749
P 0.537 0.965 0.251
P 0.749 0.463 0.035
P 0.965 0.251 0.537
O 0.016 0.739 0.650
O 0.043 0.939 0.313
O 0.061 0.687 0.957
O 0.128 0.283 0.512
O 0.221 0.593 0.414
O 0.261 0.350 0.984
O 0.283 0.512 0.128
O 0.313 0.043 0.939
O 0.350 0.984 0.261
O 0.407 0.586 0.779
O 0.414 0.221 0.593
O 0.488 0.872 0.717
O 0.512 0.128 0.283
O 0.586 0.779 0.407
O 0.593 0.414 0.221
O 0.650 0.016 0.739
O 0.687 0.957 0.061
O 0.717 0.488 0.872
O 0.739 0.650 0.016
O 0.779 0.407 0.586
O 0.872 0.717 0.488
O 0.939 0.313 0.043
O 0.957 0.061 0.687
O 0.984 0.261 0.350